Record 1
For Ho7Tl2In, a structure optimized by DFT (GGA-PBE) gives the theoretical PXRD pattern in this record (copper Kα).

Atomic structure:
a b c (Å): 5.279 5.279 12.634
angles (deg): 90.00 90.00 120.00
Fractional coordinates of all 10 atoms:
Ho (0.000, 0.000, 0.000)
Ho (0.000, 0.000, 0.259)
Ho (0.000, 0.000, 0.737)
Ho (0.333, 0.667, 0.410)
Ho (0.333, 0.667, 0.877)
Ho (0.667, 0.333, 0.124)
Ho (0.667, 0.333, 0.583)
Tl (0.000, 0.000, 0.498)
Tl (0.667, 0.333, 0.850)
In (0.333, 0.667, 0.145)

The 6 most intense peaks (2θ = 15–90°), low angle first:
Position (°2θ)  I/Imax
33.97  100
34.51  90
49.21  33
60.78  19
61.14  35
81.87  15

***

Record 2
For Ho8Tl3In4, a structure optimized by DFT (GGA-PBE) gives the theoretical PXRD pattern in this record (copper Kα).

Atomic structure:
a b c (Å): 8.845 8.845 6.815
angles (deg): 112.59 112.59 89.59
Fractional coordinates of all 15 atoms:
Ho (0.149, 0.851, 0.000)
Ho (0.243, 0.243, 0.491)
Ho (0.243, 0.243, 0.996)
Ho (0.250, 0.750, 0.500)
Ho (0.750, 0.250, 0.500)
Ho (0.757, 0.757, 0.004)
Ho (0.757, 0.757, 0.509)
Ho (0.851, 0.149, 0.000)
Tl (0.000, 0.500, 0.500)
Tl (0.500, 0.000, 0.500)
Tl (0.500, 0.500, 0.500)
In (0.000, 0.000, 0.500)
In (0.000, 0.500, 0.000)
In (0.500, 0.000, 0.000)
In (0.500, 0.500, 0.000)

The 6 most intense peaks (2θ = 15–90°), low angle first:
Position (°2θ)  I/Imax
28.65  35
31.25  100
32.72  21
33.98  40
42.90  50
45.02  21

***

Record 3
For Ho8TlIn2, a structure optimized by DFT (GGA-PBE) gives the theoretical PXRD pattern in this record (copper Kα).

Atomic structure:
a b c (Å): 8.868 8.868 8.868
angles (deg): 146.73 122.68 67.92
Fractional coordinates of all 11 atoms:
Ho (0.126, 0.342, 0.784)
Ho (0.143, 0.143, 0.000)
Ho (0.307, 0.000, 0.307)
Ho (0.442, 0.658, 0.784)
Ho (0.558, 0.342, 0.216)
Ho (0.693, 0.000, 0.693)
Ho (0.857, 0.857, 0.000)
Ho (0.874, 0.658, 0.216)
Tl (0.000, 0.500, 0.500)
In (0.305, 0.805, 0.500)
In (0.695, 0.195, 0.500)

The 6 most intense peaks (2θ = 15–90°), low angle first:
Position (°2θ)  I/Imax
31.83  26
32.15  17
32.99  100
35.35  27
36.65  17
61.97  16

***

Record 4
For HoTlIn, a structure optimized by DFT (GGA-PBE) gives the theoretical PXRD pattern in this record (copper Kα).

Atomic structure:
a b c (Å): 6.776 6.776 6.776
angles (deg): 149.32 149.32 43.95
Fractional coordinates of all 3 atoms:
Ho (0.000, 0.000, 0.000)
Tl (0.326, 0.326, 0.000)
In (0.662, 0.662, 0.000)

The 6 most intense peaks (2θ = 15–90°), low angle first:
Position (°2θ)  I/Imax
32.88  100
35.40  41
43.19  12
50.94  15
57.03  21
61.97  32

***

Record 5
For Ho5TlIn3, a structure optimized by DFT (GGA-PBE) gives the theoretical PXRD pattern in this record (copper Kα).

Atomic structure:
a b c (Å): 9.279 9.279 6.641
angles (deg): 90.00 90.00 120.00
Fractional coordinates of all 18 atoms:
Ho (0.000, 0.292, 0.250)
Ho (0.000, 0.708, 0.750)
Ho (0.292, 0.000, 0.250)
Ho (0.292, 0.292, 0.750)
Ho (0.333, 0.667, 0.000)
Ho (0.333, 0.667, 0.500)
Ho (0.667, 0.333, 0.000)
Ho (0.667, 0.333, 0.500)
Ho (0.708, 0.000, 0.750)
Ho (0.708, 0.708, 0.250)
Tl (0.000, 0.000, 0.000)
Tl (0.000, 0.000, 0.500)
In (0.000, 0.372, 0.750)
In (0.000, 0.628, 0.250)
In (0.372, 0.000, 0.750)
In (0.372, 0.372, 0.250)
In (0.628, 0.000, 0.250)
In (0.628, 0.628, 0.750)

The 6 most intense peaks (2θ = 15–90°), low angle first:
Position (°2θ)  I/Imax
32.42  23
33.18  100
33.46  85
47.83  31
59.63  26
66.24  31

***

Record 6
For Ho3Tm4In4, a structure optimized by DFT (GGA-PBE) gives the theoretical PXRD pattern in this record (copper Kα).

Atomic structure:
a b c (Å): 9.530 9.530 9.530
angles (deg): 151.90 126.63 61.40
Fractional coordinates of all 11 atoms:
Ho (0.000, 0.000, 0.000)
Ho (0.381, 0.881, 0.500)
Ho (0.619, 0.119, 0.500)
Tm (0.029, 0.330, 0.699)
Tm (0.369, 0.670, 0.699)
Tm (0.631, 0.330, 0.301)
Tm (0.971, 0.670, 0.301)
In (0.226, 0.226, 0.000)
In (0.323, 0.500, 0.823)
In (0.677, 0.500, 0.177)
In (0.774, 0.774, 0.000)

The 6 most intense peaks (2θ = 15–90°), low angle first:
Position (°2θ)  I/Imax
28.93  100
30.97  91
32.85  47
35.49  45
38.93  43
53.69  28